# 1
Computed powder diffractogram
Compound: ZnIn2Se4O12
Radiation: a wavelength of 1.5418 Å
Structure: a structure optimized by DFT (GGA-PBE)
Neutral-atom scattering factors, no anomalous dispersion.

The 10 most intense peaks (15 to 90 degrees two-theta), low angle first:
d 4.022, 2θ 22.10, I = 14
d 3.518, 2θ 25.31, I = 100
d 2.961, 2θ 30.18, I = 11
d 2.883, 2θ 31.02, I = 22
d 2.871, 2θ 31.15, I = 12
d 2.531, 2θ 35.46, I = 16
d 2.447, 2θ 36.73, I = 13
d 2.216, 2θ 40.72, I = 12
d 1.927, 2θ 47.17, I = 10
d 1.759, 2θ 51.98, I = 12

Structural model:
```
ZnIn2Se4O12
1.0
8.6147 0.0000 0.0000
0.0000 4.8961 0.0000
-5.6252 0.0000 14.6724
Zn In Se O
2 4 8 24
direct
0.0000 0.0000 0.0000
0.0000 0.5000 0.5000
0.1551 0.0370 0.7127
0.1551 0.4630 0.2127
0.8449 0.5370 0.7873
0.8449 0.9630 0.2873
0.2250 0.5719 0.8897
0.2250 0.9281 0.3897
0.3478 0.5075 0.6283
0.3478 0.9925 0.1283
0.6522 0.0075 0.8717
0.6522 0.4925 0.3717
0.7750 0.0719 0.6103
0.7750 0.4281 0.1103
0.0496 0.7083 0.9054
0.0496 0.7917 0.4054
0.0981 0.1311 0.2983
0.0981 0.3689 0.7983
0.1731 0.7070 0.6240
0.1731 0.7930 0.1240
0.2367 0.1604 0.0292
0.2367 0.3396 0.5292
0.2940 0.6723 0.3374
0.2940 0.8277 0.8374
0.3637 0.2291 0.2129
0.3637 0.2709 0.7129
0.6363 0.7291 0.2871
0.6363 0.7709 0.7871
0.7060 0.1723 0.1626
0.7060 0.3277 0.6626
0.7633 0.6604 0.4708
0.7633 0.8396 0.9708
0.8269 0.2070 0.8760
0.8269 0.2930 0.3760
0.9019 0.6311 0.2017
0.9019 0.8689 0.7017
0.9504 0.2083 0.5946
0.9504 0.2917 0.0946
```



# 2
Computed powder diffractogram
Compound: InSiO3
Radiation: a wavelength of 1.5418 Å
Structure: a structure optimized by DFT (GGA-PBE)
Neutral-atom scattering factors, no anomalous dispersion.

The 10 most intense peaks (15 to 90 degrees two-theta), low angle first:
d 3.663, 2θ 24.30, I = 36
d 2.590, 2θ 34.63, I = 100
d 2.115, 2θ 42.76, I = 41
d 1.832, 2θ 49.79, I = 38
d 1.638, 2θ 56.15, I = 16
d 1.495, 2θ 62.06, I = 37
d 1.295, 2θ 73.06, I = 21
d 1.221, 2θ 78.30, I = 8
d 1.158, 2θ 83.45, I = 16
d 1.104, 2θ 88.54, I = 12

Structural model:
```
InSiO3
1.0
3.6630 0.0000 0.0000
0.0000 3.6630 0.0000
0.0000 0.0000 3.6630
In Si O
1 1 3
direct
0.0000 0.0000 0.0000
0.5000 0.5000 0.5000
0.0000 0.5000 0.5000
0.5000 0.0000 0.5000
0.5000 0.5000 0.0000
```



# 3
Computed powder diffractogram
Compound: In2Si2O7
Radiation: a wavelength of 1.5418 Å
Structure: a structure optimized by DFT (GGA-PBE)
Neutral-atom scattering factors, no anomalous dispersion.

The 10 most intense peaks (15 to 90 degrees two-theta), low angle first:
d 5.512, 2θ 16.08, I = 34
d 2.878, 2θ 31.07, I = 20
d 2.756, 2θ 32.49, I = 100
d 2.387, 2θ 37.69, I = 24
d 2.190, 2θ 41.22, I = 31
d 1.837, 2θ 49.62, I = 14
d 1.688, 2θ 54.36, I = 47
d 1.614, 2θ 57.07, I = 11
d 1.439, 2θ 64.77, I = 39
d 1.095, 2θ 89.49, I = 17

Structural model:
```
In2Si2O7
1.0
0.0000 4.7734 4.7734
4.7734 0.0000 4.7734
4.7734 4.7734 0.0000
In Si O
4 4 14
direct
0.0000 0.0000 0.0000
0.0000 0.0000 0.5000
0.0000 0.5000 0.0000
0.5000 0.0000 0.0000
0.0000 0.5000 0.5000
0.5000 0.0000 0.5000
0.5000 0.5000 0.0000
0.5000 0.5000 0.5000
0.1250 0.1250 0.1250
0.1789 0.1789 0.5711
0.1789 0.5711 0.1789
0.1789 0.5711 0.5711
0.4289 0.4289 0.8211
0.4289 0.8211 0.4289
0.4289 0.8211 0.8211
0.5711 0.1789 0.1789
0.5711 0.1789 0.5711
0.5711 0.5711 0.1789
0.8211 0.4289 0.4289
0.8211 0.4289 0.8211
0.8211 0.8211 0.4289
0.8750 0.8750 0.8750
```